The following is a calculated XRD peak list of MnFe5O8. It was derived from the PBE+U geometry in Alexandria, using CuKα.

Lattice parameters (Å, degrees): 6.1158 6.1158 6.1158 59.47 59.47 59.47
Positions (direct):
Mn 0.0000 0.0000 0.0000
Fe 0.0000 0.0000 0.5000
Fe 0.0000 0.5000 0.0000
Fe 0.3780 0.3780 0.3780
Fe 0.5000 0.0000 0.0000
Fe 0.6220 0.6220 0.6220
O 0.2321 0.7476 0.7476
O 0.2468 0.2468 0.2468
O 0.2524 0.2524 0.7679
O 0.2524 0.7679 0.2524
O 0.7476 0.2321 0.7476
O 0.7476 0.7476 0.2321
O 0.7532 0.7532 0.7532
O 0.7679 0.2524 0.2524

Principal peaks in the range 2θ from 10° to 90°, most intense first:
2theta  I_rel
34.6  100
34.7  52
34.4  51
60.6  47
61.1  46
42.0  42
29.2  30
29.4  27
55.4  26
55.6  23
55.2  16
36.2  13